For Cs5B2O5, a crystal structure in Alexandria, relaxed with GGA-PBE gives the calculated powder diffraction line list in this record (Cu Kα (weighted mean of Kα1 and Kα2)).
Peak positions follow from Bragg's law for the DFT cell and can differ from measured ones.

Most intense lines, 2θ = 10–90°, in order of rising 2θ:
17.99°, rel. 55, hkl 2 0 1; 20.79°, rel. 93, hkl 2 0 -3; 27.68°, rel. 100, hkl 1 1 0; 31.32°, rel. 80, hkl 0 0 4; 35.31°, rel. 100, hkl 3 1 -3; 36.49°, rel. 81, hkl 3 1 1

Crystal structure
a b c (Å): 15.373 3.317 12.894
angles (deg): 90.00 117.61 90.00
Space group C2/m (No. 12)
Symmetry-distinct sites (fractional):
Cs: 0.000 0.000 0.000 [2 per cell]
Cs: 0.117 0.000 0.739 [4 per cell]
Cs: 0.131 0.000 0.473 [4 per cell]
B: 0.149 0.500 0.245 [4 per cell]
O: 0.000 0.500 0.500 [2 per cell]
O: 0.058 0.500 0.221 [4 per cell]
O: 0.201 0.000 0.255 [4 per cell]